Record 1
NdPu2Hg6: computed powder diffractogram (Cu Kα (λ = 1.5418 Å)), based on DFT lattice parameters and positions (GGA-PBE).

The 8 most intense peaks (2θ from 10° to 80°), sorted by position:
2θ (°)  I/Imax
34.05  97
35.08  100
44.97  11
49.69  34
62.27  35
62.92  19
68.00  30
74.12  12

a = 8.8625 Å, b = 8.8625 Å, c = 3.2732 Å
α = 90.00°, β = 90.00°, γ = 120.00°
Positions (direct):
Nd 0.0000 0.0000 0.0000
Pu 0.3333 0.6667 0.0000
Pu 0.6667 0.3333 0.0000
Hg 0.0000 0.3341 0.5000
Hg 0.0000 0.6659 0.5000
Hg 0.3341 0.0000 0.5000
Hg 0.3341 0.3341 0.5000
Hg 0.6659 0.0000 0.5000
Hg 0.6659 0.6659 0.5000

Record 2
LiHg7: computed powder diffractogram (Cu Kα (λ = 1.5418 Å)), based on DFT lattice parameters and positions (GGA-PBE).

The 8 most intense peaks (2θ from 10° to 80°), sorted by position:
2θ (°)  I/Imax
33.26  100
33.59  85
34.76  45
40.62  24
40.74  26
54.56  44
61.36  26
69.82  19

a = 5.5642 Å, b = 5.5642 Å, c = 8.8859 Å
α = 112.87°, β = 112.87°, γ = 55.27°
Positions (direct):
Li 0.0000 0.0000 0.0000
Hg 0.0000 0.0000 0.5000
Hg 0.2315 0.2315 0.8838
Hg 0.2534 0.2534 0.3586
Hg 0.4805 0.4805 0.7594
Hg 0.5195 0.5195 0.2406
Hg 0.7466 0.7466 0.6414
Hg 0.7685 0.7685 0.1162

Record 3
TaCd2Si: computed powder diffractogram (Cu Kα (λ = 1.5418 Å)), based on DFT lattice parameters and positions (GGA-PBE).

The 8 most intense peaks (2θ from 10° to 80°), sorted by position:
2θ (°)  I/Imax
24.86  34
35.70  14
35.95  29
37.73  100
47.39  26
54.25  8
60.89  24
65.79  19

a = 5.6857 Å, b = 5.6857 Å, c = 5.6857 Å
α = 140.57°, β = 140.57°, γ = 57.00°
Positions (direct):
Ta 0.0000 0.0000 0.0000
Cd 0.2500 0.7500 0.5000
Cd 0.7500 0.2500 0.5000
Si 0.5000 0.5000 0.0000